No. 1
KSnAuSe2S: calculated XRD peak list (λ = 1.5418 Å (Cu Kα)), based on a PBE-relaxed structure.
Kinematic intensities with the Lorentz-polarization factor, no thermal factor.

Cell lengths 4.030, 16.094, 10.421 Å; angles 90.00, 90.00, 90.00 degrees
Space group Cmcm (No. 63)
Asymmetric unit:
K  0.000  0.212  0.250 [4 per cell]
Sn  0.000  0.500  0.000 [4 per cell]
Au  0.000  0.120  0.750 [4 per cell]
Se  0.000  0.119  0.519 [8 per cell]
S  0.000  0.453  0.750 [4 per cell]

Peak list (10 most intense, 2θ from 15° to 90°, low angle first)
h k l  2θ (°)  d/Å  I/Imax
1 1 1  24.32  3.660  23.6
1 3 0  27.69  3.222  100.0
1 3 1  29.01  3.078  57.4
0 0 4  34.42  2.605  51.9
0 6 1  34.53  2.598  32.5
1 5 0  35.70  2.515  47.1
1 3 4  44.73  2.026  51.1
2 0 0  44.97  2.016  36.7
1 5 4  50.43  1.809  33.3
2 0 4  57.88  1.593  52.2

---

No. 2
KNaAu2Se2: calculated XRD peak list (λ = 1.5418 Å (Cu Kα)), based on a PBE-relaxed structure.
Kinematic intensities with the Lorentz-polarization factor, no thermal factor.

Cell lengths 7.099, 6.187, 7.908 Å; angles 90.00, 90.00, 90.00 degrees
Space group Amm2 (No. 38)
Asymmetric unit:
K  0.000  0.000  0.000 [2 per cell]
Na  0.500  0.000  0.714 [2 per cell]
Au  0.253  0.000  0.375 [4 per cell]
Se  0.000  0.000  0.588 [2 per cell]
Se  0.500  0.000  0.158 [2 per cell]

Peak list (10 most intense, 2θ from 15° to 90°, low angle first)
h k l  2θ (°)  d/Å  I/Imax
0 1 1  18.21  4.873  100.0
0 0 2  22.49  3.954  11.6
0 2 0  28.86  3.093  43.7
2 1 1  31.17  2.869  60.1
2 0 2  33.94  2.641  45.1
0 1 3  37.07  2.425  14.6
2 2 2  45.14  2.009  40.9
2 1 3  45.29  2.002  26.2
2 3 1  52.62  1.739  14.0
0 2 4  55.09  1.667  19.1

---

No. 3
BaLaAgSeS2: calculated XRD peak list (λ = 1.5418 Å (Cu Kα)), based on a PBE-relaxed structure.
Kinematic intensities with the Lorentz-polarization factor, no thermal factor.

Cell lengths 4.270, 14.225, 11.072 Å; angles 90.00, 90.00, 90.00 degrees
Space group Cmcm (No. 63)
Asymmetric unit:
Ba  0.000  0.240  0.250 [4 per cell]
La  0.000  0.000  0.000 [4 per cell]
Ag  0.000  0.474  0.750 [4 per cell]
Se  0.000  0.088  0.750 [4 per cell]
S  0.000  0.368  0.566 [8 per cell]

Peak list (10 most intense, 2θ from 15° to 90°, low angle first)
h k l  2θ (°)  d/Å  I/Imax
0 4 0  25.04  3.556  26.9
1 1 2  27.11  3.290  30.8
1 3 1  29.28  3.050  100.0
0 0 4  32.34  2.768  51.7
1 3 2  32.52  2.753  91.5
1 3 3  37.37  2.406  33.2
0 4 4  41.38  2.182  44.3
1 5 2  41.48  2.177  36.5
2 0 0  42.33  2.135  32.3
2 4 4  60.68  1.526  28.3

---

No. 4
DyTm2Al2Cd4: calculated XRD peak list (λ = 1.5418 Å (Cu Kα)), based on a PBE-relaxed structure.
Kinematic intensities with the Lorentz-polarization factor, no thermal factor.

Cell lengths 4.538, 12.583, 7.232 Å; angles 90.00, 90.00, 90.00 degrees
Space group Amm2 (No. 38)
Asymmetric unit:
Dy  0.000  0.000  0.000 [2 per cell]
Tm  0.000  0.216  0.353 [4 per cell]
Al  0.500  0.168  0.069 [4 per cell]
Cd  0.000  0.000  0.566 [2 per cell]
Cd  0.500  0.000  0.317 [2 per cell]
Cd  0.500  0.126  0.694 [4 per cell]

Peak list (10 most intense, 2θ from 15° to 90°, low angle first)
h k l  2θ (°)  d/Å  I/Imax
0 4 0  28.44  3.139  25.9
1 0 2  31.59  2.832  77.7
1 2 2  34.75  2.581  100.0
0 5 1  37.88  2.375  27.7
0 1 3  38.00  2.368  12.8
2 0 0  39.72  2.269  28.8
2 5 1  56.05  1.641  17.4
1 2 4  56.68  1.624  15.3
1 7 3  68.26  1.374  12.6
3 2 2  68.91  1.363  13.3

---

Question: Number 2 is which compound?
Answer: KNaAu2Se2